# 1
Computed powder X-ray diffraction pattern
Compound: Ca3Ag3Hg8
Radiation: Cu Kα, 1.54184 Å
Structure: DFT lattice parameters and positions (GGA-PBE)
Kinematic intensities with the Lorentz-polarization factor, no thermal factor.

Structural model:
```
Ca3Ag3Hg8
1.0
-2.4352 5.1549 6.8566
2.4352 -5.1549 6.8566
2.4352 5.1549 -6.8566
Ca Ag Hg
3 3 8
direct
0.0000 0.0000 0.0000
0.2909 0.2909 0.0000
0.7091 0.7091 0.0000
0.3524 0.5000 0.8524
0.5000 0.0000 0.5000
0.6476 0.5000 0.1476
0.0043 0.6430 0.3612
0.1563 0.8624 0.2939
0.2818 0.6430 0.6388
0.4315 0.1376 0.2939
0.5685 0.8624 0.7061
0.7182 0.3570 0.3612
0.8437 0.1376 0.7061
0.9957 0.3570 0.6388
```

Main lines, in order of falling intensity (2θ from 10° to 90°):
41.6 deg, intensity 1000; 36.9 deg, intensity 687; 31.9 deg, intensity 559; 40.1 deg, intensity 538; 33.1 deg, intensity 522; 32.0 deg, intensity 510; 20.2 deg, intensity 475; 26.0 deg, intensity 473; 17.2 deg, intensity 409; 31.3 deg, intensity 409; 62.5 deg, intensity 321; 34.5 deg, intensity 281


# 2
Computed powder X-ray diffraction pattern
Compound: Tb2Pr5Mg
Radiation: Cu Kα, 1.54184 Å
Structure: DFT lattice parameters and positions (GGA-PBE)
Kinematic intensities with the Lorentz-polarization factor, no thermal factor.

Structural model:
```
Tb2Pr5Mg
1.0
-3.6330 3.6330 5.0508
3.6330 -3.6330 5.0508
3.6330 3.6330 -5.0508
Tb Pr Mg
2 5 1
direct
0.0000 0.5000 0.5000
0.5000 0.0000 0.5000
0.0000 0.0000 0.0000
0.0000 0.0000 0.5000
0.0000 0.5000 0.0000
0.5000 0.0000 0.0000
0.5000 0.5000 0.5000
0.5000 0.5000 0.0000
```

Main lines, in order of falling intensity (2θ from 10° to 90°):
30.3 deg, intensity 1000; 34.9 deg, intensity 343; 59.8 deg, intensity 289; 50.7 deg, intensity 238; 35.5 deg, intensity 163; 60.6 deg, intensity 139; 63.0 deg, intensity 123; 50.2 deg, intensity 122; 82.5 deg, intensity 116; 15.0 deg, intensity 64; 81.8 deg, intensity 59; 84.3 deg, intensity 55